[1]
The following is a simulated X-ray diffraction stick pattern of KSrUO4. It was derived from a cell relaxed with PBE, using copper Kα.

Atomic structure:
```
data_KSrUO4
_chemical_formula_sum 'K2 Sr2 U2 O8'
_symmetry_space_group_name_H-M 'P 1'
_symmetry_Int_Tables_number 1
_cell_length_a 4.391
_cell_length_b 4.391
_cell_length_c 12.913
_cell_angle_alpha 90.00
_cell_angle_beta 90.00
_cell_angle_gamma 90.00
loop_
_symmetry_equiv_pos_as_xyz
'x,y,z'
loop_
_atom_site_label
_atom_site_type_symbol
_atom_site_fract_x
_atom_site_fract_y
_atom_site_fract_z
K1 K 0.000 0.000 0.000
K2 K 0.500 0.500 0.500
Sr1 Sr 0.000 0.000 0.295
Sr2 Sr 0.500 0.500 0.795
U1 U 0.000 0.000 0.646
U2 U 0.500 0.500 0.146
O1 O 0.000 0.000 0.486
O2 O 0.000 0.000 0.805
O3 O 0.000 0.500 0.161
O4 O 0.000 0.500 0.661
O5 O 0.500 0.000 0.161
O6 O 0.500 0.000 0.661
O7 O 0.500 0.500 0.305
O8 O 0.500 0.500 0.986
```

Largest 8 diffraction maxima, sorted by position, 5 to 70 degrees two-theta:
2θ/deg, intensity
13.72, 66.2
21.37, 62.0
28.75, 66.1
29.05, 100.0
40.52, 25.7
41.11, 35.0
51.13, 43.4
51.68, 22.8



[2]
The following is a simulated X-ray diffraction stick pattern of K3Sr2UO6. It was derived from a cell relaxed with PBE, using copper Kα.

Atomic structure:
```
data_K3Sr2UO6
_chemical_formula_sum 'K3 Sr2 U1 O6'
_symmetry_space_group_name_H-M 'P 1'
_symmetry_Int_Tables_number 1
_cell_length_a 6.330
_cell_length_b 6.330
_cell_length_c 6.614
_cell_angle_alpha 99.27
_cell_angle_beta 99.27
_cell_angle_gamma 119.98
loop_
_symmetry_equiv_pos_as_xyz
'x,y,z'
loop_
_atom_site_label
_atom_site_type_symbol
_atom_site_fract_x
_atom_site_fract_y
_atom_site_fract_z
K1 K 0.000 0.000 0.000
K2 K 0.335 0.665 0.000
K3 K 0.665 0.335 0.000
Sr1 Sr 0.167 0.833 0.500
Sr2 Sr 0.833 0.167 0.500
U1 U 0.500 0.500 0.500
O1 O 0.145 0.436 0.307
O2 O 0.274 0.274 0.690
O3 O 0.436 0.145 0.307
O4 O 0.564 0.855 0.693
O5 O 0.726 0.726 0.310
O6 O 0.855 0.564 0.693
```

Largest 8 diffraction maxima, sorted by position, 5 to 70 degrees two-theta:
2θ/deg, intensity
14.14, 70.5
16.86, 22.7
18.72, 16.7
28.56, 58.0
29.79, 70.8
34.16, 100.0
48.22, 21.2
49.90, 31.1